The following is a theoretical powder X-ray diffraction pattern of Y3CuRh8. It was derived from DFT lattice parameters and positions (PBE), using CuKα.
Kinematic intensities with the Lorentz-polarization factor, no thermal factor.

Peak list (12 most intense, 5° ≤ 2θ ≤ 70°, low angle first)
2θ/deg  d/Å  intensity
20.54  4.323  15
31.00  2.885  2
33.86  2.647  20
39.93  2.258  100
41.71  2.165  13
41.81  2.160  36
48.64  1.872  10
53.28  1.719  3
53.38  1.716  2
60.61  1.528  5
64.61  1.442  7
64.71  1.441  23

Atomic structure:
Cell: 9.184 9.184 9.184 Å, 33.48 33.48 33.48°
Fractional coordinates of all 12 atoms:
Y 0.000 0.000 0.000
Y 0.130 0.130 0.130
Y 0.516 0.516 0.516
Cu 0.642 0.642 0.642
Rh 0.067 0.568 0.568
Rh 0.069 0.069 0.568
Rh 0.069 0.568 0.069
Rh 0.318 0.318 0.318
Rh 0.568 0.067 0.568
Rh 0.568 0.069 0.069
Rh 0.568 0.568 0.067
Rh 0.818 0.818 0.818